Theoretical powder diffraction line list
Compound: MnSn2O4
Radiation: CuKα
Structure: the GGA+U geometry in Alexandria
Lines closer than 0.1° are merged.

The 12 most intense peaks (5° ≤ 2θ ≤ 70°), most intense first:
hkl 2 2 -1, 31.9 deg, d = 2.802 Å, rel. 100
hkl 1 1 -2, 31.6 deg, d = 2.833 Å, rel. 94
hkl 1 1 0, 16.4 deg, d = 5.411 Å, rel. 88
hkl 6 2 -2, 54.6 deg, d = 1.680 Å, rel. 87
hkl 2 2 -2, 38.7 deg, d = 2.328 Å, rel. 65
hkl 4 0 -2, 32.6 deg, d = 2.743 Å, rel. 60
hkl 3 1 0, 30.9 deg, d = 2.897 Å, rel. 48
hkl 2 2 0, 33.1 deg, d = 2.705 Å, rel. 46
hkl 2 0 -1, 16.2 deg, d = 5.486 Å, rel. 45
hkl 4 0 -1, 30.7 deg, d = 2.909 Å, rel. 41
hkl 4 0 0, 37.1 deg, d = 2.426 Å, rel. 36
hkl 4 2 -3, 50.7 deg, d = 1.802 Å, rel. 32

Atomic structure:
abc: 11.7597 6.5183 6.6503
angles: 90.00 124.39 90.00
Space group C2 (No. 5)
Symmetry-distinct sites (fractional):
Mn 0.1437 0.0000 0.3938 [4 per cell]
Sn 0.0000 0.4972 0.0000 [2 per cell]
Sn 0.0000 0.5054 0.5000 [2 per cell]
Sn 0.2484 0.2494 0.9815 [4 per cell]
O 0.0020 0.2780 0.2506 [4 per cell]
O 0.0047 0.7225 0.2562 [4 per cell]
O 0.2134 0.4777 0.6977 [4 per cell]
O 0.2139 0.5160 0.2286 [4 per cell]